Starting from a cell relaxed with PBE, the powder X-ray diffraction pattern of CsMg14TiO16 was computed for Cu Kα (weighted mean of Kα1 and Kα2).

Largest 10 diffraction maxima, by intensity, 2θ from 15° to 90°:
| 2θ/deg | intensity | hkl |
| --- | --- | --- |
| 41.0 | 100 | 4 0 0 |
| 59.0 | 60 | 4 0 2 |
| 40.5 | 54 | 0 0 2 |
| 35.2 | 40 | 2 2 1 |
| 59.4 | 28 | 4 4 0 |
| 74.4 | 26 | 4 4 2 |
| 24.6 | 20 | 1 1 1 |
| 20.2 | 18 | 2 0 0 |
| 70.9 | 15 | 6 2 1 |
| 28.5 | 15 | 2 0 1 |

Structural model:
```
data_CsMg14TiO16
_cell_length_a 8.8083
_cell_length_b 8.8083
_cell_length_c 4.4508
_cell_angle_alpha 90.00
_cell_angle_beta 90.00
_cell_angle_gamma 90.00
_symmetry_space_group_name_H-M 'P 4/m m m'
_symmetry_Int_Tables_number 123
_symmetry_space_group_name_Hall '-P 4 2'
loop_
_atom_site_label
_atom_site_fract_x
_atom_site_fract_y
_atom_site_fract_z
Cs1 0.0000 0.0000 0.0000
Mg1 0.0000 0.2622 0.5000
Mg2 0.0000 0.5000 0.0000
Mg3 0.2488 0.5000 0.5000
Mg4 0.2512 0.2512 0.0000
Ti1 0.5000 0.5000 0.0000
O1 0.0000 0.0000 0.5000
O2 0.0000 0.2869 0.0000
O3 0.0000 0.5000 0.5000
O4 0.2506 0.2506 0.5000
O5 0.2608 0.5000 0.0000
O6 0.5000 0.5000 0.5000
```